The following is a simulated powder diffraction line list of La14SmGa. It was derived from the GGA-PBE geometry in Alexandria, using λ = 1.5418 Å (Cu Kα).

Top 10 peaks for 15° ≤ 2θ ≤ 90°, low angle first:
(2 2 2), d 2.984, rel. 100; (0 4 0), d 2.587, rel. 34; (4 0 0), d 2.578, rel. 17; (0 4 4), d 1.828, rel. 23; (4 4 0), d 1.826, rel. 12; (2 6 2), d 1.559, rel. 27; (6 2 2), d 1.556, rel. 13; (4 4 4), d 1.492, rel. 12; (6 6 2), d 1.185, rel. 10; (0 8 4), d 1.157, rel. 7

Atomic structure:
```
data_La14SmGa
_chemical_formula_sum 'La28 Sm2 Ga2'
_symmetry_space_group_name_H-M 'A m m 2'
_symmetry_Int_Tables_number 38
_cell_length_a 10.314
_cell_length_b 10.341
_cell_length_c 10.353
_cell_angle_alpha 90.00
_cell_angle_beta 90.00
_cell_angle_gamma 90.00
loop_
_symmetry_equiv_pos_as_xyz
'x,y,z'
'-x,-y,z'
'-x,y,z'
'x,-y,z'
'x,y+1/2,z+1/2'
'-x,-y+1/2,z+1/2'
'-x,y+1/2,z+1/2'
'x,-y+1/2,z+1/2'
loop_
_atom_site_label
_atom_site_type_symbol
_atom_site_fract_x
_atom_site_fract_y
_atom_site_fract_z
La1 La 0.000 0.000 0.000
La2 La 0.000 0.000 0.499
La3 La 0.000 0.249 0.249
La4 La 0.259 0.000 0.737
La5 La 0.261 0.238 0.499
La6 La 0.262 0.000 0.262
La7 La 0.500 0.248 0.749
Sm1 Sm 0.500 0.000 0.999
Ga1 Ga 0.500 0.000 0.500
```